Entry 1:
This entry pairs a crystal structure of Y2Ti2S2O5 with its theoretical PXRD pattern. Radiation: CuKα. Structure: a cell relaxed with PBE.
Kinematic intensities with the Lorentz-polarization factor, no thermal factor.

The 8 most intense peaks (5 to 70 degrees two-theta), low angle first:
Position (°2θ)	Rel. int.
7.66	50.6
15.35	70.7
26.18	100.0
33.38	91.1
36.07	86.7
42.53	46.6
47.93	63.6
61.42	33.7

Cell and atoms:
a b c (Å): 3.796 3.796 23.091
angles (deg): 90.00 90.00 90.00
Space group I4/mmm (No. 139)
Symmetry-distinct sites (fractional):
Y1 0.000 0.000 0.167 [4 per cell]
Ti1 0.000 0.000 0.421 [4 per cell]
S1 0.000 0.000 0.295 [4 per cell]
O1 0.000 0.000 0.500 [2 per cell]
O2 0.000 0.500 0.099 [8 per cell]

***

Entry 2:
This entry pairs a crystal structure of KNb2O5 with its theoretical PXRD pattern. Radiation: CuKα. Structure: a cell relaxed with PBE.
Kinematic intensities with the Lorentz-polarization factor, no thermal factor.

The 8 most intense peaks (5 to 70 degrees two-theta), low angle first:
Position (°2θ)	Rel. int.
15.30	100.0
21.58	71.2
24.80	44.3
28.42	94.8
30.67	43.4
30.89	79.1
43.98	50.2
49.77	42.3

Cell and atoms:
a b c (Å): 4.119 12.962 12.935
angles (deg): 90.00 91.32 90.00
Space group Pc (No. 7)
Symmetry-distinct sites (fractional):
K1 0.000 0.071 0.000 [2 per cell]
K2 0.006 0.414 0.344 [2 per cell]
K3 0.013 0.244 0.670 [2 per cell]
Nb1 0.480 0.165 0.465 [2 per cell]
Nb2 0.481 0.043 0.750 [2 per cell]
Nb3 0.494 0.239 0.184 [2 per cell]
Nb4 0.506 0.447 0.598 [2 per cell]
Nb5 0.526 0.321 0.876 [2 per cell]
Nb6 0.885 0.372 0.039 [2 per cell]
O1 0.025 0.472 0.594 [2 per cell]
O2 0.028 0.262 0.161 [2 per cell]
O3 0.033 0.043 0.747 [2 per cell]
O4 0.033 0.173 0.465 [2 per cell]
O5 0.041 0.329 0.889 [2 per cell]
O6 0.520 0.391 0.737 [2 per cell]
O7 0.525 0.037 0.384 [2 per cell]
O8 0.526 0.095 0.169 [2 per cell]
O9 0.526 0.318 0.530 [2 per cell]
O10 0.528 0.252 0.328 [2 per cell]
O11 0.529 0.107 0.603 [2 per cell]
O12 0.529 0.180 0.812 [2 per cell]
O13 0.529 0.463 0.960 [2 per cell]
O14 0.545 0.252 0.021 [2 per cell]
O15 0.558 0.401 0.162 [2 per cell]

***

Please write out number 1 again, unchanged.
This entry pairs a crystal structure of Y2Ti2S2O5 with its theoretical PXRD pattern. Radiation: CuKα. Structure: a cell relaxed with PBE.
Kinematic intensities with the Lorentz-polarization factor, no thermal factor.

The 8 most intense peaks (5 to 70 degrees two-theta), low angle first:
Position (°2θ)	Rel. int.
7.66	50.6
15.35	70.7
26.18	100.0
33.38	91.1
36.07	86.7
42.53	46.6
47.93	63.6
61.42	33.7

Cell and atoms:
a b c (Å): 3.796 3.796 23.091
angles (deg): 90.00 90.00 90.00
Space group I4/mmm (No. 139)
Symmetry-distinct sites (fractional):
Y1 0.000 0.000 0.167 [4 per cell]
Ti1 0.000 0.000 0.421 [4 per cell]
S1 0.000 0.000 0.295 [4 per cell]
O1 0.000 0.000 0.500 [2 per cell]
O2 0.000 0.500 0.099 [8 per cell]